[1]
This entry pairs a crystal structure of AgBrO2 with its simulated X-ray diffraction stick pattern. Radiation: λ = 1.5418 Å (Cu Kα). Structure: a structure optimized by DFT (GGA-PBE).
No peak broadening, texture or thermal motion is included.

Cell and atoms:
Cell: 4.215 3.596 11.049 Å, 90.00 95.65 90.00°
Atoms (fractional coordinates):
Ag 0.148 0.250 0.406
Ag 0.852 0.750 0.594
Br 0.365 0.250 0.660
Br 0.635 0.750 0.340
O 0.072 0.250 0.080
O 0.198 0.750 0.974
O 0.802 0.250 0.026
O 0.928 0.750 0.920

Main lines, in order of rising 2θ (2θ = 15–90°):
two_theta  I/Imax
24.3  39
32.8  49
33.3  100
35.0  31
42.5  28
44.7  21

[2]
This entry pairs a crystal structure of BaBiO3 with its simulated X-ray diffraction stick pattern. Radiation: λ = 1.5418 Å (Cu Kα). Structure: a structure optimized by DFT (GGA-PBE).
No peak broadening, texture or thermal motion is included.

Cell and atoms:
Cell: 4.332 6.284 7.580 Å, 81.14 73.44 81.43°
Atoms (fractional coordinates):
Ba 0.000 0.000 0.000
Ba 0.196 0.417 0.304
Bi 0.541 0.926 0.519
Bi 0.917 0.561 0.764
O 0.138 0.136 0.634
O 0.250 0.416 0.945
O 0.454 0.810 0.183
O 0.563 0.316 0.835
O 0.712 0.635 0.118
O 0.742 0.165 0.310

Main lines, in order of rising 2θ (2θ = 15–90°):
two_theta  I/Imax
23.9  60
27.1  100
27.6  57
28.2  98
30.1  57
37.9  42

[3]
This entry pairs a crystal structure of Ba3UO6 with its simulated X-ray diffraction stick pattern. Radiation: λ = 1.5418 Å (Cu Kα). Structure: a structure optimized by DFT (GGA-PBE).
No peak broadening, texture or thermal motion is included.

Cell and atoms:
Cell: 6.545 6.545 6.545 Å, 60.00 60.00 60.00°
Atoms (fractional coordinates):
Ba 0.000 0.000 0.000
Ba 0.250 0.250 0.250
Ba 0.750 0.750 0.750
U 0.500 0.500 0.500
O 0.274 0.274 0.726
O 0.274 0.726 0.274
O 0.274 0.726 0.726
O 0.726 0.274 0.274
O 0.726 0.274 0.726
O 0.726 0.726 0.274

Main lines, in order of rising 2θ (2θ = 15–90°):
two_theta  I/Imax
27.3  100
38.9  28
48.2  42
56.2  19
63.6  20
77.1  23

[4]
This entry pairs a crystal structure of MgSi2 with its simulated X-ray diffraction stick pattern. Radiation: λ = 1.5418 Å (Cu Kα). Structure: a structure optimized by DFT (GGA-PBE).
No peak broadening, texture or thermal motion is included.

Cell and atoms:
Cell: 9.448 6.024 7.379 Å, 90.00 90.00 90.00°
Atoms (fractional coordinates):
Mg 0.102 0.250 0.205
Mg 0.139 0.750 0.113
Mg 0.361 0.250 0.613
Mg 0.398 0.750 0.705
Mg 0.602 0.250 0.295
Mg 0.639 0.750 0.387
Mg 0.861 0.250 0.887
Mg 0.898 0.750 0.795
Si 0.130 0.552 0.501
Si 0.130 0.948 0.501
Si 0.138 0.048 0.822
Si 0.138 0.452 0.822
Si 0.362 0.548 0.322
Si 0.362 0.952 0.322
Si 0.370 0.052 0.001
Si 0.370 0.448 0.001
Si 0.630 0.552 0.999
Si 0.630 0.948 0.999
Si 0.638 0.048 0.678
Si 0.638 0.452 0.678
Si 0.862 0.548 0.178
Si 0.862 0.952 0.178
Si 0.870 0.052 0.499
Si 0.870 0.448 0.499

Main lines, in order of rising 2θ (2θ = 15–90°):
two_theta  I/Imax
34.2  55
37.5  100
37.8  72
38.1  87
39.8  38
46.9  55

[5]
This entry pairs a crystal structure of HoZnIn with its simulated X-ray diffraction stick pattern. Radiation: λ = 1.5418 Å (Cu Kα). Structure: a structure optimized by DFT (GGA-PBE).
No peak broadening, texture or thermal motion is included.

Cell and atoms:
Cell: 4.683 4.683 7.219 Å, 90.00 90.00 120.00°
Atoms (fractional coordinates):
Ho 0.000 0.000 0.000
Ho 0.000 0.000 0.500
Zn 0.333 0.667 0.250
Zn 0.667 0.333 0.750
In 0.333 0.667 0.750
In 0.667 0.333 0.250

Main lines, in order of rising 2θ (2θ = 15–90°):
two_theta  I/Imax
33.2  100
38.4  63
51.7  28
65.3  26
66.2  27
69.5  11

[6]
This entry pairs a crystal structure of HoCoB4 with its simulated X-ray diffraction stick pattern. Radiation: λ = 1.5418 Å (Cu Kα). Structure: a structure optimized by DFT (GGA-PBE).
No peak broadening, texture or thermal motion is included.

Cell and atoms:
Cell: 5.887 11.391 3.375 Å, 90.00 90.00 90.00°
Atoms (fractional coordinates):
Ho 0.127 0.150 0.000
Ho 0.373 0.650 0.000
Ho 0.627 0.350 0.000
Ho 0.873 0.850 0.000
Co 0.135 0.411 0.000
Co 0.365 0.911 0.000
Co 0.635 0.089 0.000
Co 0.865 0.589 0.000
B 0.023 0.691 0.500
B 0.111 0.546 0.500
B 0.139 0.968 0.500
B 0.218 0.815 0.500
B 0.282 0.315 0.500
B 0.361 0.468 0.500
B 0.389 0.046 0.500
B 0.477 0.191 0.500
B 0.523 0.809 0.500
B 0.611 0.954 0.500
B 0.639 0.532 0.500
B 0.718 0.685 0.500
B 0.782 0.185 0.500
B 0.861 0.032 0.500
B 0.889 0.454 0.500
B 0.977 0.309 0.500

Main lines, in order of rising 2θ (2θ = 15–90°):
two_theta  I/Imax
21.7  23
26.4  65
28.0  29
31.4  87
38.8  31
41.5  100

[7]
This entry pairs a crystal structure of Na14Cu2O9 with its simulated X-ray diffraction stick pattern. Radiation: λ = 1.5418 Å (Cu Kα). Structure: a structure optimized by DFT (GGA-PBE).
No peak broadening, texture or thermal motion is included.

Cell and atoms:
Cell: 6.658 6.658 9.290 Å, 90.00 90.00 120.00°
Atoms (fractional coordinates):
Na 0.000 0.000 0.246
Na 0.000 0.000 0.754
Na 0.034 0.676 0.407
Na 0.059 0.376 0.095
Na 0.317 0.941 0.095
Na 0.324 0.359 0.407
Na 0.359 0.034 0.593
Na 0.376 0.317 0.905
Na 0.624 0.683 0.095
Na 0.641 0.966 0.407
Na 0.676 0.641 0.593
Na 0.683 0.059 0.905
Na 0.941 0.624 0.905
Na 0.966 0.324 0.593
Cu 0.333 0.667 0.759
Cu 0.667 0.333 0.241
O 0.000 0.000 0.500
O 0.052 0.357 0.836
O 0.305 0.948 0.836
O 0.333 0.667 0.544
O 0.357 0.305 0.164
O 0.643 0.695 0.836
O 0.667 0.333 0.456
O 0.695 0.052 0.164
O 0.948 0.643 0.164

Main lines, in order of rising 2θ (2θ = 15–90°):
two_theta  I/Imax
18.1  100
32.5  33
33.1  81
42.6  47
47.3  79
47.8  86